This entry pairs a crystal structure of BiN with its calculated powder X-ray diffraction pattern. Radiation: λ = 1.5418 Å (Cu Kα). Structure: a PBE-relaxed structure.

Main lines, by angle (2θ from 5° to 70°):
hkl, d (Å), two_theta, Rel. int.
1 0 0, 3.180, 28.06, 97
1 1 0, 2.248, 40.11, 100
1 1 1, 1.836, 49.66, 29
2 0 0, 1.590, 58.01, 17
2 1 0, 1.422, 65.66, 39

Crystal structure
```
2
Lattice="3.180 0.000 0.000 0.000 3.180 0.000 0.000 0.000 3.180" Properties=species:S:1:pos:R:3 pbc="T T T"
Bi 0.000 0.000 0.000
N 1.590 1.590 1.590
```



This entry pairs a crystal structure of Pr2BiN with its calculated powder X-ray diffraction pattern. Radiation: λ = 1.5418 Å (Cu Kα). Structure: a PBE-relaxed structure.

Main lines, by angle (2θ from 5° to 70°):
hkl, d (Å), two_theta, Rel. int.
1 1 0, 3.383, 26.34, 29
1 1 1, 3.187, 28.00, 72
0 0 3, 3.165, 28.20, 54
1 1 2, 2.755, 32.50, 100
2 0 0, 2.392, 37.60, 61
2 0 3, 1.908, 47.65, 52
2 2 0, 1.692, 54.22, 21
1 1 5, 1.656, 55.49, 32
2 2 3, 1.492, 62.23, 24
3 1 2, 1.442, 64.66, 28

Crystal structure
```
8
Lattice="4.785 0.000 0.000 0.000 4.785 0.000 0.000 0.000 9.494" Properties=species:S:1:pos:R:3 pbc="T T T"
Pr 1.196 1.196 1.657
Pr 1.196 3.589 4.747
Pr 3.589 1.196 4.747
Pr 3.589 3.589 7.837
Bi 1.196 1.196 7.644
Bi 3.589 3.589 1.850
N 1.196 1.196 3.960
N 3.589 3.589 5.534
```